[1]
Diffraction record for PaCo4Si. The X-ray diffraction stick pattern is simulated, not measured: it uses a cell relaxed with PBE and CuKα.
Neutral-atom scattering factors, no anomalous dispersion.

Most intense lines, 2θ = 10–90°, low angle first:
2θ/deg  I (rel.)
20.38  59
29.79  100
31.33  64
39.55  44
40.80  45
41.44  36
44.92  33
61.87  41

Atomic structure:
```
12
Lattice="-2.242 2.242 9.260 2.242 -2.242 9.260 2.242 2.242 -9.260" Properties=species:S:1:pos:R:3 pbc="T T T"
Pa 2.242 1.121 2.315
Pa 0.000 1.121 6.945
Co 1.139 1.121 -0.405
Co 3.345 1.121 -0.405
Co 0.000 0.018 4.225
Co 2.242 0.018 5.034
Co 0.000 2.224 4.225
Co 2.242 2.224 5.034
Co -1.103 1.121 9.664
Co 1.103 1.121 9.664
Si 2.242 -1.121 6.945
Si 0.000 3.363 2.315
```

[2]
Diffraction record for Ni5H7Pd. The X-ray diffraction stick pattern is simulated, not measured: it uses a cell relaxed with PBE and CuKα.
Neutral-atom scattering factors, no anomalous dispersion.

Most intense lines, 2θ = 10–90°, low angle first:
2θ/deg  I (rel.)
36.38  30
39.40  34
39.65  38
41.66  100
42.17  36
42.61  33
42.85  25
47.54  24

Atomic structure:
```
26
Lattice="2.681 0.000 0.000 0.000 15.031 0.000 -1.281 0.000 4.330" Properties=species:S:1:pos:R:3 pbc="T T T"
Ni 0.000 0.000 0.000
Ni 0.000 7.516 0.000
Ni 0.036 1.147 2.365
Ni 0.036 6.369 2.365
Ni 0.038 9.741 3.940
Ni 0.038 12.805 3.940
Ni 1.361 2.226 0.390
Ni 1.361 5.290 0.390
Ni 1.364 8.663 1.965
Ni 1.364 13.884 1.965
H 0.006 9.102 0.769
H 0.006 13.445 0.769
H 0.015 2.590 1.441
H 0.015 4.925 1.441
H 0.039 8.055 3.129
H 0.039 14.492 3.129
H 0.079 3.758 4.047
H 1.320 11.273 0.283
H 1.361 0.539 1.200
H 1.361 6.976 1.200
H 1.385 10.106 2.889
H 1.385 12.441 2.889
H 1.394 1.586 3.560
H 1.394 5.929 3.560
Pd -0.037 11.273 1.632
Pd 1.437 3.758 2.698
```